# La5Sm3In3
Computed powder XRD pattern, λ = 1.5418 Å (Cu Kα). Input: the PBE geometry in Alexandria.
Lines closer than 0.1° are merged.

Structure:
a b c (Å): 11.1050 11.1050 3.4742
angles (deg): 90.00 90.00 120.00
Space group P-62m (No. 189)
Inequivalent atoms, fractional coordinates:
La 0.0000 0.3414 0.0000 (multiplicity 3)
La 0.3333 0.6667 0.0000 (multiplicity 2)
Sm 0.0000 0.8306 0.0000 (multiplicity 3)
In 0.0000 0.5889 0.5000 (multiplicity 3)

The 6 most intense peaks (2θ from 5° to 70°), sorted by position:
| two_theta | I/Imax |
| --- | --- |
| 27.83 | 80 |
| 30.35 | 79 |
| 33.60 | 100 |
| 35.75 | 99 |
| 41.64 | 92 |
| 63.96 | 80 |

=====

# La5SmIn3
Computed powder XRD pattern, λ = 1.5418 Å (Cu Kα). Input: the PBE geometry in Alexandria.
Lines closer than 0.1° are merged.

Structure:
a b c (Å): 9.7284 9.7284 7.0735
angles (deg): 90.00 90.00 120.00
Space group P6_3/mcm (No. 193)
Inequivalent atoms, fractional coordinates:
La 0.0000 0.3384 0.2500 (multiplicity 6)
La 0.3333 0.6667 0.0000 (multiplicity 4)
Sm 0.0000 0.0000 0.0000 (multiplicity 2)
In 0.0000 0.3253 0.7500 (multiplicity 6)

The 6 most intense peaks (2θ from 5° to 70°), sorted by position:
| two_theta | I/Imax |
| --- | --- |
| 31.27 | 97 |
| 31.87 | 100 |
| 45.25 | 35 |
| 56.41 | 36 |
| 56.78 | 19 |
| 62.02 | 29 |

=====

# La4Sm2In
Computed powder XRD pattern, λ = 1.5418 Å (Cu Kα). Input: the PBE geometry in Alexandria.
Lines closer than 0.1° are merged.

Structure:
a b c (Å): 6.436 11.338 6.616
angles (deg): 90.00 91.20 90.00
Space group P2_1/c (No. 14)
Inequivalent atoms, fractional coordinates:
La 0.063 0.153 0.459 (multiplicity 4)
La 0.404 0.736 0.725 (multiplicity 4)
Sm 0.249 0.032 0.950 (multiplicity 4)
In 0.500 0.000 0.500 (multiplicity 2)

The 6 most intense peaks (2θ from 5° to 70°), sorted by position:
| two_theta | I/Imax |
| --- | --- |
| 30.69 | 100 |
| 31.31 | 66 |
| 31.67 | 73 |
| 32.18 | 59 |
| 34.11 | 70 |
| 34.58 | 70 |

=====

# LaSm4In
Computed powder XRD pattern, λ = 1.5418 Å (Cu Kα). Input: the PBE geometry in Alexandria.
Lines closer than 0.1° are merged.

Structure:
a b c (Å): 3.672 3.672 14.540
angles (deg): 90.00 90.00 90.00
Space group P4/mmm (No. 123)
Inequivalent atoms, fractional coordinates:
La 0.000 0.000 0.000 (multiplicity 1)
Sm 0.000 0.000 0.356 (multiplicity 2)
Sm 0.500 0.500 0.181 (multiplicity 2)
In 0.500 0.500 0.500 (multiplicity 1)

The 6 most intense peaks (2θ from 5° to 70°), sorted by position:
| two_theta | I/Imax |
| --- | --- |
| 30.54 | 100 |
| 34.54 | 39 |
| 37.10 | 11 |
| 49.65 | 14 |
| 51.59 | 17 |
| 59.42 | 30 |

=====

# La2Sm3In3
Computed powder XRD pattern, λ = 1.5418 Å (Cu Kα). Input: the PBE geometry in Alexandria.
Lines closer than 0.1° are merged.

Structure:
a b c (Å): 4.583 4.998 20.985
angles (deg): 90.00 90.00 90.00
Space group Immm (No. 71)
Inequivalent atoms, fractional coordinates:
La 0.000 0.000 0.238 (multiplicity 4)
Sm 0.000 0.000 0.000 (multiplicity 2)
Sm 0.000 0.500 0.117 (multiplicity 4)
In 0.000 0.000 0.500 (multiplicity 2)
In 0.000 0.500 0.379 (multiplicity 4)

The 6 most intense peaks (2θ from 5° to 70°), sorted by position:
| two_theta | I/Imax |
| --- | --- |
| 31.50 | 100 |
| 34.18 | 18 |
| 35.94 | 18 |
| 39.32 | 14 |
| 59.53 | 12 |
| 61.84 | 14 |

=====

# LaSm5In5
Computed powder XRD pattern, λ = 1.5418 Å (Cu Kα). Input: the PBE geometry in Alexandria.
Lines closer than 0.1° are merged.

Structure:
a b c (Å): 16.775 6.001 6.930
angles (deg): 90.00 95.62 90.00
Space group C2/m (No. 12)
Inequivalent atoms, fractional coordinates:
La 0.000 0.000 0.000 (multiplicity 2)
Sm 0.000 0.000 0.500 (multiplicity 2)
Sm 0.139 0.500 0.432 (multiplicity 4)
Sm 0.180 0.500 0.942 (multiplicity 4)
In 0.000 0.500 0.000 (multiplicity 2)
In 0.168 0.000 0.280 (multiplicity 4)
In 0.174 0.000 0.719 (multiplicity 4)

The 6 most intense peaks (2θ from 5° to 70°), sorted by position:
| two_theta | I/Imax |
| --- | --- |
| 28.97 | 35 |
| 29.78 | 100 |
| 32.17 | 61 |
| 32.78 | 78 |
| 35.26 | 52 |
| 44.40 | 50 |

=====

# La7SmIn4
Computed powder XRD pattern, λ = 1.5418 Å (Cu Kα). Input: the PBE geometry in Alexandria.
Lines closer than 0.1° are merged.

Structure:
a b c (Å): 14.733 5.971 11.217
angles (deg): 90.00 124.23 90.00
Space group C2/m (No. 12)
Inequivalent atoms, fractional coordinates:
La 0.000 0.000 0.000 (multiplicity 2)
La 0.061 0.500 0.380 (multiplicity 4)
La 0.203 0.500 0.881 (multiplicity 4)
La 0.210 0.000 0.644 (multiplicity 4)
Sm 0.000 0.500 0.000 (multiplicity 2)
In 0.058 0.000 0.761 (multiplicity 4)
In 0.183 0.000 0.332 (multiplicity 4)

The 6 most intense peaks (2θ from 5° to 70°), sorted by position:
| two_theta | I/Imax |
| --- | --- |
| 27.19 | 59 |
| 28.40 | 51 |
| 28.75 | 40 |
| 29.93 | 100 |
| 32.31 | 50 |
| 35.73 | 61 |

=====

# La2Sm12In
Computed powder XRD pattern, λ = 1.5418 Å (Cu Kα). Input: the PBE geometry in Alexandria.
Lines closer than 0.1° are merged.

Structure:
a b c (Å): 6.724 6.724 23.646
angles (deg): 90.00 90.00 90.00
Space group P4/nbm (No. 125, origin choice 2)
Inequivalent atoms, fractional coordinates:
La 0.250 0.750 0.247 (multiplicity 4)
Sm 0.003 0.503 0.091 (multiplicity 8)
Sm 0.084 0.584 0.565 (multiplicity 8)
Sm 0.250 0.250 0.199 (multiplicity 4)
Sm 0.250 0.250 0.330 (multiplicity 4)
In 0.250 0.750 0.000 (multiplicity 2)

The 6 most intense peaks (2θ from 5° to 70°), sorted by position:
| two_theta | I/Imax |
| --- | --- |
| 27.58 | 100 |
| 29.44 | 37 |
| 30.62 | 63 |
| 35.08 | 57 |
| 37.84 | 65 |
| 53.05 | 41 |

=====

# La3SmIn4
Computed powder XRD pattern, λ = 1.5418 Å (Cu Kα). Input: the PBE geometry in Alexandria.
Lines closer than 0.1° are merged.

Structure:
a b c (Å): 3.920 3.920 15.725
angles (deg): 90.00 90.00 90.00
Space group P4/mmm (No. 123)
Inequivalent atoms, fractional coordinates:
La 0.000 0.000 0.000 (multiplicity 1)
La 0.000 0.000 0.254 (multiplicity 2)
Sm 0.000 0.000 0.500 (multiplicity 1)
In 0.500 0.500 0.127 (multiplicity 2)
In 0.500 0.500 0.384 (multiplicity 2)

The 6 most intense peaks (2θ from 5° to 70°), sorted by position:
| two_theta | I/Imax |
| --- | --- |
| 32.26 | 100 |
| 46.18 | 6 |
| 46.32 | 12 |
| 57.53 | 37 |
| 67.48 | 7 |
| 67.59 | 4 |

=====

# La8Sm6In
Computed powder XRD pattern, λ = 1.5418 Å (Cu Kα). Input: the PBE geometry in Alexandria.
Lines closer than 0.1° are merged.

Structure:
a b c (Å): 9.4248 9.4248 6.7998
angles (deg): 90.00 90.00 120.00
Space group P-3 (No. 147)
Inequivalent atoms, fractional coordinates:
La 0.0467 0.7701 0.1734 (multiplicity 6)
La 0.3333 0.6667 0.1243 (multiplicity 2)
Sm 0.0969 0.6562 0.6552 (multiplicity 6)
In 0.0000 0.0000 0.5000 (multiplicity 1)

The 6 most intense peaks (2θ from 5° to 70°), sorted by position:
| two_theta | I/Imax |
| --- | --- |
| 25.45 | 19 |
| 28.44 | 23 |
| 28.94 | 31 |
| 31.85 | 100 |
| 32.47 | 44 |
| 51.29 | 16 |

=====

# La2Sm4In
Computed powder XRD pattern, λ = 1.5418 Å (Cu Kα). Input: the PBE geometry in Alexandria.
Lines closer than 0.1° are merged.

Structure:
a b c (Å): 6.389 11.024 6.605
angles (deg): 90.00 90.05 90.00
Space group P2_1/c (No. 14)
Inequivalent atoms, fractional coordinates:
La 0.244 0.046 0.001 (multiplicity 4)
Sm 0.070 0.153 0.501 (multiplicity 4)
Sm 0.390 0.750 0.251 (multiplicity 4)
In 0.500 0.000 0.500 (multiplicity 2)

The 6 most intense peaks (2θ from 5° to 70°), sorted by position:
| two_theta | I/Imax |
| --- | --- |
| 28.01 | 45 |
| 29.10 | 52 |
| 31.17 | 54 |
| 31.57 | 100 |
| 32.17 | 79 |
| 34.64 | 51 |

=====

# La2Sm6In
Computed powder XRD pattern, λ = 1.5418 Å (Cu Kα). Input: the PBE geometry in Alexandria.
Lines closer than 0.1° are merged.

Structure:
a b c (Å): 10.019 10.566 5.669
angles (deg): 90.00 90.00 90.00
Space group Pnnm (No. 58)
Inequivalent atoms, fractional coordinates:
La 0.191 0.249 0.000 (multiplicity 4)
Sm 0.017 0.184 0.500 (multiplicity 4)
Sm 0.139 0.602 0.000 (multiplicity 4)
Sm 0.181 0.925 0.000 (multiplicity 4)
In 0.000 0.500 0.500 (multiplicity 2)

The 6 most intense peaks (2θ from 5° to 70°), sorted by position:
| two_theta | I/Imax |
| --- | --- |
| 31.07 | 100 |
| 31.20 | 55 |
| 31.56 | 42 |
| 44.85 | 19 |
| 55.43 | 18 |
| 55.93 | 24 |